1.
TlSbIO2: computed powder diffractogram (Cu Kα (λ = 1.5418 Å)), based on a GGA-PBE-relaxed structure.

Structure:
Lattice parameters (Å, degrees): 7.6213 7.6213 5.5034 90.00 90.00 133.43
Positions (direct):
Tl (0.1069, 0.8931, 0.7500)
Tl (0.8931, 0.1069, 0.2500)
Sb (0.4338, 0.5662, 0.7500)
Sb (0.5662, 0.4338, 0.2500)
I (0.2344, 0.7656, 0.2500)
I (0.7656, 0.2344, 0.7500)
O (0.2876, 0.2876, 0.0000)
O (0.2876, 0.2876, 0.5000)
O (0.7124, 0.7124, 0.0000)
O (0.7124, 0.7124, 0.5000)

Peak list (8 most intense, 2θ from 10° to 80°, most intense first)
2θ/deg  I/Imax
29.14  100
52.30  30
29.65  24
44.60  20
32.54  18
55.98  16
24.12  13
71.39  11

2.
RbNa2SrCd: computed powder diffractogram (Cu Kα (λ = 1.5418 Å)), based on a GGA-PBE-relaxed structure.

Structure:
Lattice parameters (Å, degrees): 6.2361 6.2361 6.4193 90.00 90.00 90.00
Positions (direct):
Rb (0.0000, 0.0000, 0.0000)
Na (0.0000, 0.5000, 0.5000)
Na (0.5000, 0.0000, 0.5000)
Sr (0.5000, 0.5000, 0.0000)
Cd (0.5000, 0.5000, 0.5000)

Peak list (8 most intense, 2θ from 10° to 80°, most intense first)
2θ/deg  I/Imax
20.14  100
28.63  84
40.33  65
14.20  52
34.56  51
19.85  46
27.80  45
50.20  34

3.
Ca5MgZn4: computed powder diffractogram (Cu Kα (λ = 1.5418 Å)), based on a GGA-PBE-relaxed structure.

Structure:
Lattice parameters (Å, degrees): 3.6832 3.6832 19.1871 90.00 90.00 90.00
Positions (direct):
Ca (0.0000, 0.0000, 0.0000)
Ca (0.0000, 0.0000, 0.1916)
Ca (0.0000, 0.0000, 0.3821)
Ca (0.0000, 0.0000, 0.6179)
Ca (0.0000, 0.0000, 0.8084)
Mg (0.5000, 0.5000, 0.5000)
Zn (0.5000, 0.5000, 0.0959)
Zn (0.5000, 0.5000, 0.2893)
Zn (0.5000, 0.5000, 0.7107)
Zn (0.5000, 0.5000, 0.9041)

Peak list (8 most intense, 2θ from 10° to 80°, most intense first)
2θ/deg  I/Imax
33.73  100
34.44  52
61.24  32
49.49  18
59.87  13
37.24  11
70.93  7
47.38  7

4.
Mg2InAgBr6: computed powder diffractogram (Cu Kα (λ = 1.5418 Å)), based on a GGA-PBE-relaxed structure.

Structure:
Lattice parameters (Å, degrees): 10.0711 10.0711 7.7936 104.27 104.27 88.68
Positions (direct):
Mg (0.1155, 0.2647, 0.2012)
Mg (0.2647, 0.1155, 0.7012)
Mg (0.7353, 0.8845, 0.2988)
Mg (0.8845, 0.7353, 0.7988)
In (0.3852, 0.6148, 0.7500)
In (0.6148, 0.3852, 0.2500)
Ag (0.2700, 0.7300, 0.2500)
Ag (0.7300, 0.2700, 0.7500)
Br (0.0695, 0.1877, 0.4721)
Br (0.1088, 0.6355, 0.9233)
Br (0.1877, 0.0695, 0.9721)
Br (0.3025, 0.4501, 0.3167)
Br (0.3645, 0.8912, 0.5767)
Br (0.4501, 0.3025, 0.8167)
Br (0.5499, 0.6975, 0.1833)
Br (0.6355, 0.1088, 0.4233)
Br (0.6975, 0.5499, 0.6833)
Br (0.8123, 0.9305, 0.0279)
Br (0.8912, 0.3645, 0.0767)
Br (0.9305, 0.8123, 0.5279)

Peak list (8 most intense, 2θ from 10° to 80°, most intense first)
2θ/deg  I/Imax
27.11  100
22.24  57
28.07  55
43.95  40
13.09  30
38.37  24
29.14  23
26.34  23